1.
This entry pairs a crystal structure of Rb3BeTe3 with its simulated X-ray powder pattern. Radiation: Cu Kα. Structure: a GGA-PBE-relaxed structure.
Neutral-atom scattering factors, no anomalous dispersion.

Cell and atoms:
Lattice parameters (Å, degrees): 8.4148 13.8791 12.3036 90.00 126.12 90.00
Atoms (fractional coordinates):
1 Rb 0.1416 0.2046 0.3761
2 Rb 0.1416 0.2954 0.8761
3 Rb 0.3519 0.5596 0.1139
4 Rb 0.3519 0.9404 0.6139
5 Rb 0.3570 0.6215 0.5298
6 Rb 0.3570 0.8785 0.0298
7 Rb 0.6430 0.1215 0.9702
8 Rb 0.6430 0.3785 0.4702
9 Rb 0.6481 0.0596 0.3861
10 Rb 0.6481 0.4404 0.8861
11 Rb 0.8584 0.7046 0.1239
12 Rb 0.8584 0.7954 0.6239
13 Be 0.0558 0.5451 0.6362
14 Be 0.0558 0.9549 0.1362
15 Be 0.9442 0.0451 0.8638
16 Be 0.9442 0.4549 0.3638
17 Te 0.0869 0.0464 0.7360
18 Te 0.0869 0.4536 0.2360
19 Te 0.1630 0.1085 0.0972
20 Te 0.1630 0.3915 0.5972
21 Te 0.3181 0.6576 0.8178
22 Te 0.3181 0.8424 0.3178
23 Te 0.6819 0.1576 0.6822
24 Te 0.6819 0.3424 0.1822
25 Te 0.8370 0.6085 0.4028
26 Te 0.8370 0.8915 0.9028
27 Te 0.9131 0.5464 0.7640
28 Te 0.9131 0.9536 0.2640

Principal peaks in the range 2θ from 15° to 90°, in order of rising 2θ:
two_theta, I/Imax
22.0, 58
24.2, 50
24.9, 44
25.4, 84
27.0, 100
27.3, 56
27.6, 80
27.8, 67
30.7, 46
32.7, 79



2.
This entry pairs a crystal structure of Sr2CaRe2N6 with its simulated X-ray powder pattern. Radiation: Cu Kα. Structure: a GGA-PBE-relaxed structure.
Neutral-atom scattering factors, no anomalous dispersion.

Cell and atoms:
Lattice parameters (Å, degrees): 7.2241 7.2241 7.2241 50.58 50.58 50.58
Atoms (fractional coordinates):
1 Sr 0.1983 0.1983 0.1983
2 Sr 0.8017 0.8017 0.8017
3 Ca 0.0000 0.0000 0.0000
4 Re 0.4316 0.4316 0.4316
5 Re 0.5684 0.5684 0.5684
6 N 0.2474 0.7468 0.7468
7 N 0.2532 0.2532 0.7526
8 N 0.2532 0.7526 0.2532
9 N 0.7468 0.2474 0.7468
10 N 0.7468 0.7468 0.2474
11 N 0.7526 0.2532 0.2532

Principal peaks in the range 2θ from 15° to 90°, in order of rising 2θ:
two_theta, I/Imax
17.2, 38
19.1, 17
28.9, 100
32.3, 13
41.4, 14
41.9, 18
51.3, 28
59.9, 11
60.3, 12
82.8, 11